1.
SrPu3Pt8: computed PXRD pattern (CuKα), based on a structure optimized by DFT (PBE).
Intensities are scaled so that the largest is 100.

Cell and atoms:
```
data_SrPu3Pt8
_symmetry_space_group_name_H-M 'P 3 m 1'
_symmetry_Int_Tables_number 156
_symmetry_space_group_name_Hall 'P 3 -2"'
_cell_length_a 5.4846
_cell_length_b 5.4846
_cell_length_c 9.0023
_cell_angle_alpha 90.00
_cell_angle_beta 90.00
_cell_angle_gamma 120.00
loop_
_atom_site_label
_atom_site_fract_x
_atom_site_fract_y
_atom_site_fract_z
Sr1 0.0000 0.0000 0.0000
Pu1 0.0000 0.0000 0.3754
Pu2 0.6667 0.3333 0.4955
Pu3 0.6667 0.3333 0.8616
Pt1 0.1649 0.3299 0.6804
Pt2 0.3333 0.6667 0.4323
Pt3 0.3333 0.6667 0.9333
Pt4 0.5026 0.0053 0.1869
```

Main lines, low angle first (2θ = 15–90°):
| 2θ (°) | d/Å | Rel. int. |
| --- | --- | --- |
| 32.65 | 2.742 | 28 |
| 35.38 | 2.537 | 70 |
| 38.44 | 2.342 | 100 |
| 39.23 | 2.296 | 88 |
| 40.06 | 2.251 | 19 |
| 43.06 | 2.100 | 21 |
| 60.05 | 1.541 | 29 |
| 62.15 | 1.494 | 25 |
| 65.00 | 1.435 | 33 |
| 68.42 | 1.371 | 29 |

---

2.
LaH2ClO2: computed PXRD pattern (CuKα), based on a structure optimized by DFT (PBE).
Intensities are scaled so that the largest is 100.

Cell and atoms:
```
data_LaH2ClO2
_symmetry_space_group_name_H-M 'P 1 21/m 1'
_symmetry_Int_Tables_number 11
_symmetry_space_group_name_Hall '-P 2yb'
_cell_length_a 5.948
_cell_length_b 4.029
_cell_length_c 7.191
_cell_angle_alpha 90.00
_cell_angle_beta 101.01
_cell_angle_gamma 90.00
loop_
_atom_site_label
_atom_site_fract_x
_atom_site_fract_y
_atom_site_fract_z
La1 0.085 0.250 0.306
H1 0.384 0.554 0.673
Cl1 0.259 0.750 0.058
O1 0.102 0.250 0.634
O2 0.452 0.750 0.622
```

Main lines, low angle first (2θ = 15–90°):
| 2θ (°) | d/Å | Rel. int. |
| --- | --- | --- |
| 15.18 | 5.838 | 100 |
| 21.53 | 4.128 | 39 |
| 25.46 | 3.499 | 66 |
| 26.90 | 3.314 | 25 |
| 28.47 | 3.135 | 83 |
| 33.76 | 2.655 | 30 |
| 35.45 | 2.532 | 32 |
| 38.07 | 2.364 | 38 |
| 38.24 | 2.353 | 53 |
| 39.24 | 2.296 | 25 |